(1)
For Fe6NiRh, a structure optimized by DFT (GGA-PBE) gives the simulated XRD peak list in this record (a wavelength of 1.5418 Å).

The 6 most intense peaks (10° ≤ 2θ ≤ 80°), sorted by position:
two_theta, I/Imax
28.7, 3
43.8, 26
44.0, 25
44.1, 100
63.8, 15
64.5, 7

Crystal structure
Lattice parameters (Å, degrees): 5.776 8.268 4.114 90.00 90.00 90.00
Space group Cmmm (No. 65)
Inequivalent atoms, fractional coordinates:
Fe  0.000  0.249  0.000 (multiplicity 4)
Fe  0.243  0.000  0.000 (multiplicity 4)
Fe  0.250  0.250  0.500 (multiplicity 4)
Ni  0.000  0.000  0.500 (multiplicity 2)
Rh  0.000  0.500  0.500 (multiplicity 2)

=====

(2)
For Fe4Ni12Rh, a structure optimized by DFT (GGA-PBE) gives the simulated XRD peak list in this record (a wavelength of 1.5418 Å).

The 6 most intense peaks (10° ≤ 2θ ≤ 80°), sorted by position:
two_theta, I/Imax
38.2, 19
42.0, 100
45.6, 32
48.9, 73
58.1, 24
71.7, 33

Crystal structure
Lattice parameters (Å, degrees): 7.450 7.450 7.450 90.00 90.00 90.00
Space group Im-3m (No. 229)
Inequivalent atoms, fractional coordinates:
Fe  0.250  0.250  0.250 (multiplicity 8)
Ni  0.000  0.000  0.309 (multiplicity 12)
Ni  0.000  0.250  0.500 (multiplicity 12)
Rh  0.000  0.000  0.000 (multiplicity 2)